Entry 1:
This entry pairs a crystal structure of Li2V6O13 with its computed powder diffractogram. Radiation: Cu Kα (λ = 1.5418 Å). Structure: a GGA+U-relaxed structure.
Peak positions follow from Bragg's law for the DFT cell and can differ from measured ones.

Structure:
abc: 6.3362 6.3362 11.1589
angles: 100.63 100.63 34.02
Fractional coordinates of all 21 atoms:
Li 0.0918 0.0918 0.1366
Li 0.9082 0.9082 0.8634
V 0.2948 0.2948 0.6355
V 0.3542 0.3542 0.0507
V 0.4080 0.4080 0.3914
V 0.5920 0.5920 0.6086
V 0.6458 0.6458 0.9493
V 0.7052 0.7052 0.3645
O 0.1235 0.1235 0.6209
O 0.1818 0.1818 0.0071
O 0.2419 0.2419 0.4064
O 0.3467 0.3467 0.7862
O 0.3905 0.3905 0.2062
O 0.4335 0.4335 0.5715
O 0.5000 0.5000 0.0000
O 0.5665 0.5665 0.4285
O 0.6095 0.6095 0.7938
O 0.6533 0.6533 0.2138
O 0.7581 0.7581 0.5936
O 0.8182 0.8182 0.9929
O 0.8765 0.8765 0.3791

Peak list (10 most intense, 2θ from 5° to 70°, most intense first)
25.16 deg, I = 100
8.07 deg, I = 47
24.39 deg, I = 47
16.19 deg, I = 41
26.07 deg, I = 41
49.15 deg, I = 38
33.06 deg, I = 35
14.90 deg, I = 29
44.88 deg, I = 28
41.22 deg, I = 26

Entry 2:
This entry pairs a crystal structure of Li3Fe2F7 with its computed powder diffractogram. Radiation: Cu Kα (λ = 1.5418 Å). Structure: a GGA+U-relaxed structure.
Peak positions follow from Bragg's law for the DFT cell and can differ from measured ones.

Structure:
abc: 5.9348 5.9348 10.3375
angles: 99.88 99.88 51.21
Fractional coordinates of all 24 atoms:
Li 0.0000 0.5000 0.5000
Li 0.1907 0.6945 0.8671
Li 0.3055 0.8093 0.6329
Li 0.5000 0.0000 0.0000
Li 0.6945 0.1907 0.3671
Li 0.8093 0.3055 0.1329
Fe 0.0797 0.5866 0.1549
Fe 0.4134 0.9203 0.3451
Fe 0.5866 0.0797 0.6549
Fe 0.9203 0.4134 0.8451
F 0.0331 0.9669 0.2500
F 0.0862 0.2307 0.0310
F 0.2307 0.0862 0.5310
F 0.2635 0.3286 0.3216
F 0.3286 0.2635 0.8216
F 0.3341 0.4805 0.6024
F 0.4805 0.3341 0.1024
F 0.5195 0.6659 0.8976
F 0.6659 0.5195 0.3976
F 0.6714 0.7365 0.1784
F 0.7365 0.6714 0.6784
F 0.7693 0.9138 0.4690
F 0.9138 0.7693 0.9690
F 0.9669 0.0331 0.7500

Peak list (10 most intense, 2θ from 5° to 70°, most intense first)
20.49 deg, I = 100
50.60 deg, I = 57
16.87 deg, I = 45
21.90 deg, I = 40
31.47 deg, I = 38
30.78 deg, I = 36
39.07 deg, I = 36
38.16 deg, I = 31
33.52 deg, I = 31
26.64 deg, I = 28

Entry 3:
This entry pairs a crystal structure of Li6V3W3O16 with its computed powder diffractogram. Radiation: Cu Kα (λ = 1.5418 Å). Structure: a GGA+U-relaxed structure.
Peak positions follow from Bragg's law for the DFT cell and can differ from measured ones.

Structure:
abc: 6.0677 6.0748 10.1170
angles: 89.02 89.14 60.29
Fractional coordinates of all 28 atoms:
Li 0.0000 0.0000 0.0000
Li 0.0042 0.0008 0.5039
Li 0.3399 0.3328 0.4920
Li 0.3435 0.3372 0.1050
Li 0.6717 0.6724 0.9854
Li 0.6776 0.6680 0.6127
V 0.1770 0.6700 0.7860
V 0.6740 0.1773 0.7861
V 0.8432 0.8379 0.2869
W 0.1815 0.1749 0.7855
W 0.3503 0.8353 0.2849
W 0.8405 0.3459 0.2848
O 0.0126 0.0229 0.6828
O 0.0156 0.0116 0.1793
O 0.0388 0.4832 0.6801
O 0.1631 0.1571 0.3976
O 0.1709 0.6990 0.3921
O 0.3115 0.8604 0.8914
O 0.3400 0.3204 0.8976
O 0.4869 0.0309 0.6801
O 0.5123 0.4708 0.6874
O 0.5171 0.9799 0.1817
O 0.5211 0.5176 0.1711
O 0.6720 0.6662 0.4019
O 0.7043 0.1652 0.3911
O 0.8433 0.8709 0.8839
O 0.8671 0.3109 0.8924
O 0.9849 0.5126 0.1812

Peak list (10 most intense, 2θ from 5° to 70°, most intense first)
17.54 deg, I = 100
16.87 deg, I = 36
18.90 deg, I = 29
35.23 deg, I = 26
35.09 deg, I = 19
35.50 deg, I = 16
30.62 deg, I = 16
24.23 deg, I = 16
19.05 deg, I = 16
43.30 deg, I = 15